Starting from the GGA+U geometry in OQMD, the XRD peak list of Gd2ErCo2B2O3 was computed for Cu Kα, 1.54184 Å.

Crystal structure
a b c (Å): 11.038 11.038 11.038
angles (deg): 162.26 162.26 25.20
Fractional coordinates of all 10 atoms:
Gd (0.136, 0.136, 0.000)
Gd (0.864, 0.864, 0.000)
Er (0.500, 0.500, 0.000)
Co (0.250, 0.750, 0.500)
Co (0.750, 0.250, 0.500)
B (0.289, 0.289, 0.000)
B (0.711, 0.711, 0.000)
O (0.000, 0.000, 0.000)
O (0.399, 0.399, 0.000)
O (0.601, 0.601, 0.000)

Largest 10 diffraction maxima, by angle, 2θ = 10–80°:
2θ (°)	d/Å	intensity
29.02	3.076	100.0
33.27	2.693	39.8
33.55	2.671	32.4
37.35	2.408	30.1
38.31	2.350	22.0
45.35	2.000	32.4
53.85	1.702	25.8
54.01	1.698	27.5
62.34	1.490	25.4
64.79	1.439	23.9